Structure and computed powder diffractogram of Nd2Al3Zn4Cd (DFT lattice parameters and positions (PBE); Cu Kα (λ = 1.5418 Å)).
No peak broadening, texture or thermal motion is included.

Most intense lines, 15 to 90 degrees two-theta, by intensity:
33.71 deg, 2.659 Å, rel. 100.0, hkl 1 1 2
32.33 deg, 2.769 Å, rel. 45.7, hkl 1 0 3
41.85 deg, 2.158 Å, rel. 43.9, hkl 2 0 0
46.93 deg, 1.936 Å, rel. 23.0, hkl 1 0 5
71.24 deg, 1.324 Å, rel. 21.6, hkl 3 1 2
53.85 deg, 1.702 Å, rel. 21.2, hkl 2 1 3

Cell and atoms:
```
Nd2Al3Zn4Cd
1.0
4.3168 0.0000 0.0000
0.0000 4.3168 0.0000
0.0000 0.0000 10.8313
Nd Al Zn Cd
2 3 4 1
Direct
0.0000 0.5000 0.2398
0.5000 0.0000 0.7602
0.0000 0.5000 0.8711
0.5000 0.0000 0.1289
0.5000 0.5000 0.5000
0.0000 0.0000 0.0000
0.0000 0.5000 0.6439
0.5000 0.0000 0.3561
0.5000 0.5000 0.0000
0.0000 0.0000 0.5000
```